AcAu13: simulated X-ray diffraction stick pattern (Cu Kα, 1.54184 Å), based on a cell relaxed with PBE.
Peak positions follow from Bragg's law for the DFT cell and can differ from measured ones.

Top 10 peaks for 2θ = 10–90°, sorted by position:
2θ (°)  d (Å)  I (rel.)
13.4  6.615  14
30.2  2.958  19
33.2  2.701  59
40.3  2.236  100
40.9  2.205  33
64.1  1.452  18
69.6  1.350  12
77.3  1.234  16
83.7  1.156  10
85.6  1.134  12

```
AcAu13
1.0
0.000 6.615 6.615
6.615 0.000 6.615
6.615 6.615 0.000
Ac Au
2 26
Direct
0.250 0.250 0.250
0.750 0.750 0.750
0.000 0.000 0.000
0.062 0.301 0.699
0.062 0.699 0.938
0.062 0.938 0.301
0.199 0.438 0.801
0.199 0.562 0.438
0.199 0.801 0.562
0.301 0.062 0.938
0.301 0.699 0.062
0.301 0.938 0.699
0.438 0.199 0.562
0.438 0.562 0.801
0.438 0.801 0.199
0.500 0.500 0.500
0.562 0.199 0.801
0.562 0.438 0.199
0.562 0.801 0.438
0.699 0.062 0.301
0.699 0.301 0.938
0.699 0.938 0.062
0.801 0.199 0.438
0.801 0.438 0.562
0.801 0.562 0.199
0.938 0.062 0.699
0.938 0.301 0.062
0.938 0.699 0.301
```



Ac2NdMg2: simulated X-ray diffraction stick pattern (Cu Kα, 1.54184 Å), based on a cell relaxed with PBE.
Peak positions follow from Bragg's law for the DFT cell and can differ from measured ones.

Top 10 peaks for 2θ = 10–90°, sorted by position:
2θ (°)  d (Å)  I (rel.)
22.4  3.971  100
24.0  3.700  47
25.1  3.548  28
29.9  2.989  55
31.9  2.809  55
33.1  2.706  61
33.9  2.644  25
37.7  2.387  42
55.9  1.644  26
56.9  1.619  27

```
Ac2NdMg2
1.0
4.042 0.000 0.000
0.000 22.202 0.000
0.000 0.000 3.967
Ac Nd Mg
4 2 4
Direct
0.000 0.176 0.000
0.000 0.824 0.000
0.500 0.324 0.000
0.500 0.676 0.000
0.000 0.000 0.000
0.500 0.500 0.000
0.000 0.420 0.500
0.000 0.580 0.500
0.500 0.080 0.500
0.500 0.920 0.500
```